1.
Calculated powder diffraction line list of CeBiO4 for copper Kα, from a structure optimized by DFT (GGA-PBE).

Atomic structure:
```
CeBiO4
1.0
1.9210 1.1091 6.4819
-1.9210 1.1091 6.4819
0.0000 -2.2181 6.4819
Ce Bi O
1 1 4
direct
0.0000 0.0000 0.0000
0.5000 0.5000 0.5000
0.1263 0.1263 0.1263
0.3745 0.3745 0.3745
0.6255 0.6255 0.6255
0.8737 0.8737 0.8737
```

Most intense lines, 2θ from 10° to 90°, in order of rising 2θ:
two_theta	d/Å	Rel. int.
27.52	3.241	37
28.35	3.148	100
32.61	2.746	45
46.25	1.963	37
47.32	1.921	35
54.67	1.679	16
55.62	1.652	32
56.09	1.640	15
76.36	1.247	13
87.29	1.117	12

2.
Calculated powder diffraction line list of Ce2BiO for copper Kα, from a structure optimized by DFT (GGA-PBE).

Atomic structure:
```
Ce2BiO
1.0
2.3990 -9.2261 0.0000
2.3990 9.2261 0.0000
0.0000 0.0000 4.4661
Ce Bi O
4 2 2
direct
0.0000 0.0000 0.0000
0.1783 0.8217 0.5000
0.5000 0.5000 0.5000
0.8217 0.1783 0.5000
0.3489 0.6511 0.0000
0.6511 0.3489 0.0000
0.0648 0.9352 0.5000
0.9352 0.0648 0.5000
```

Most intense lines, 2θ from 10° to 90°, in order of rising 2θ:
two_theta	d/Å	Rel. int.
29.04	3.075	24
30.98	2.887	100
37.49	2.399	17
40.39	2.233	14
48.10	1.892	12
50.51	1.807	11
52.70	1.737	16
56.28	1.635	11
63.62	1.463	13
67.63	1.385	11

3.
Calculated powder diffraction line list of CePmBiO2 for copper Kα, from a structure optimized by DFT (GGA-PBE).

Atomic structure:
```
CePmBiO2
1.0
-2.0085 2.0085 6.6796
2.0085 -2.0085 6.6796
2.0085 2.0085 -6.6796
Ce Pm Bi O
1 1 1 2
direct
0.0000 0.0000 0.0000
0.3235 0.3235 0.0000
0.6616 0.6616 0.0000
0.4147 0.9147 0.5000
0.9147 0.4147 0.5000
```

Most intense lines, 2θ from 10° to 90°, in order of rising 2θ:
two_theta	d/Å	Rel. int.
29.96	2.983	100
31.50	2.841	38
40.52	2.226	12
45.14	2.009	19
52.20	1.752	24
55.13	1.666	37
62.25	1.491	13
67.24	1.392	10
84.71	1.144	11
88.64	1.103	11

4.
Calculated powder diffraction line list of CeSmBiO2 for copper Kα, from a structure optimized by DFT (GGA-PBE).

Atomic structure:
```
CeSmBiO2
1.0
-2.0038 2.0038 6.6622
2.0038 -2.0038 6.6622
2.0038 2.0038 -6.6622
Ce Sm Bi O
1 1 1 2
direct
0.0000 0.0000 0.0000
0.6761 0.6761 0.0000
0.3380 0.3380 0.0000
0.0861 0.5861 0.5000
0.5861 0.0861 0.5000
```

Most intense lines, 2θ from 10° to 90°, in order of rising 2θ:
two_theta	d/Å	Rel. int.
30.03	2.975	100
31.57	2.834	38
40.63	2.220	12
45.25	2.004	19
52.34	1.748	24
55.27	1.662	37
62.43	1.488	12
67.44	1.389	10
84.97	1.141	11
88.92	1.101	11

5.
Calculated powder diffraction line list of Sr2CeBiO6 for copper Kα, from a structure optimized by DFT (GGA-PBE).

Atomic structure:
```
Sr2CeBiO6
1.0
6.0324 0.0000 0.0000
0.0000 6.2132 0.0000
-6.0140 0.0000 8.6359
Sr Ce Bi O
4 2 2 12
direct
0.2362 0.0492 0.2497
0.2362 0.4508 0.7497
0.7638 0.5492 0.2503
0.7638 0.9508 0.7503
0.5000 0.0000 0.0000
0.5000 0.5000 0.5000
0.0000 0.0000 0.5000
0.0000 0.5000 0.0000
0.1455 0.2006 0.9443
0.1455 0.2994 0.4443
0.2441 0.7040 0.9432
0.2441 0.7960 0.4432
0.3570 0.0431 0.7509
0.3570 0.4569 0.2509
0.6430 0.5431 0.7491
0.6430 0.9569 0.2491
0.7559 0.2040 0.5568
0.7559 0.2960 0.0568
0.8545 0.7006 0.5557
0.8545 0.7994 0.0557
```

Most intense lines, 2θ from 10° to 90°, in order of rising 2θ:
two_theta	d/Å	Rel. int.
20.54	4.325	28
28.74	3.107	24
29.22	3.057	100
29.62	3.016	23
41.74	2.164	24
41.84	2.159	13
46.98	1.934	9
51.21	1.784	18
51.55	1.773	11
52.30	1.749	24

6.
Calculated powder diffraction line list of Ce2Bi2Pb for copper Kα, from a structure optimized by DFT (GGA-PBE).

Atomic structure:
```
Ce2Bi2Pb
1.0
8.7785 0.0000 0.0000
0.0000 8.7785 0.0000
0.0000 0.0000 8.5028
Ce Bi Pb
8 8 4
direct
0.1481 0.3521 0.0000
0.1479 0.3519 0.5000
0.3521 0.8519 0.0000
0.3519 0.8521 0.5000
0.6479 0.1481 0.0000
0.6481 0.1479 0.5000
0.8519 0.6479 0.0000
0.8521 0.6481 0.5000
0.1524 0.6524 0.2500
0.1524 0.6524 0.7500
0.3476 0.1524 0.2500
0.3476 0.1524 0.7500
0.6524 0.8476 0.2500
0.6524 0.8476 0.7500
0.8476 0.3476 0.2500
0.8476 0.3476 0.7500
0.0000 0.0000 0.2496
0.0000 0.0000 0.7504
0.5000 0.5000 0.2504
0.5000 0.5000 0.7496
```

Most intense lines, 2θ from 10° to 90°, in order of rising 2θ:
two_theta	d/Å	Rel. int.
20.89	4.251	13
31.01	2.884	100
32.25	2.776	56
38.74	2.324	15
42.53	2.126	16
46.25	1.963	9
47.78	1.904	12
54.36	1.688	26
60.86	1.522	23
70.67	1.333	10